For Lu2Ga9Co3, DFT lattice parameters and positions (PBE) gives the simulated X-ray powder pattern in this record (Cu Kα (λ = 1.5418 Å)).
Neutral-atom scattering factors, no anomalous dispersion.

Structure:
```
data_Lu2Ga9Co3
_space_group_name_H-M_alt 'C m c m'
_space_group_IT_number 63
_space_group_name_Hall '-C 2c 2'
_cell_length_a 12.696
_cell_length_b 7.344
_cell_length_c 9.342
_cell_angle_alpha 90.00
_cell_angle_beta 90.00
_cell_angle_gamma 90.00
loop_
_atom_site_label
_atom_site_fract_x
_atom_site_fract_y
_atom_site_fract_z
Lu1 0.164 0.167 0.250
Ga1 0.000 0.120 0.750
Ga2 0.000 0.333 0.059
Ga3 0.108 0.444 0.750
Ga4 0.167 0.166 0.573
Co1 0.000 0.000 0.000
Co2 0.172 0.500 0.000
```

Principal peaks in the range 5° ≤ 2θ ≤ 70°, sorted by position:
- 2θ 26.10, I = 153, (3 1 1)
- 2θ 34.14, I = 108, (4 0 2)
- 2θ 37.90, I = 1000, (3 1 3)
- 2θ 38.55, I = 159, (0 0 4)
- 2θ 38.71, I = 184, (4 2 1)
- 2θ 42.31, I = 178, (1 3 2)
- 2θ 42.69, I = 687, (3 3 0)
- 2θ 47.83, I = 113, (4 2 3)
- 2θ 58.39, I = 167, (6 2 3)
- 2θ 58.86, I = 117, (3 3 4)